# 1
Calculated powder XRD pattern of Ni3O4 for Cu Kα, 1.54184 Å, from a GGA+U-relaxed structure.
No peak broadening, texture or thermal motion is included.

Cell and atoms:
Lattice parameters (Å, degrees): 5.118 5.118 2.877 90.00 90.00 108.24
Fractional positions:
1 Ni 0.000 0.000 0.000
2 Ni 0.000 0.500 0.500
3 Ni 0.500 0.000 0.500
4 O 0.206 0.206 0.500
5 O 0.226 0.774 0.000
6 O 0.774 0.226 0.000
7 O 0.794 0.794 0.500

Main lines, in order of rising 2θ (10° ≤ 2θ ≤ 90°):
2θ (°)  Rel. int.
18.25  67.2
21.43  14.3
36.98  31.4
38.07  27.1
43.61  100.0
63.40  36.4



# 2
Calculated powder XRD pattern of In2W2O7 for Cu Kα, 1.54184 Å, from a GGA+U-relaxed structure.
No peak broadening, texture or thermal motion is included.

Cell and atoms:
Lattice parameters (Å, degrees): 7.458 7.458 7.458 60.00 60.00 60.00
Fractional positions:
1 In 0.000 0.000 0.000
2 In 0.000 0.000 0.500
3 In 0.000 0.500 0.000
4 In 0.500 0.000 0.000
5 W 0.000 0.500 0.500
6 W 0.500 0.000 0.500
7 W 0.500 0.500 0.000
8 W 0.500 0.500 0.500
9 O 0.125 0.125 0.125
10 O 0.177 0.177 0.573
11 O 0.177 0.573 0.177
12 O 0.177 0.573 0.573
13 O 0.427 0.427 0.823
14 O 0.427 0.823 0.427
15 O 0.427 0.823 0.823
16 O 0.573 0.177 0.177
17 O 0.573 0.177 0.573
18 O 0.573 0.573 0.177
19 O 0.823 0.427 0.427
20 O 0.823 0.427 0.823
21 O 0.823 0.823 0.427
22 O 0.875 0.875 0.875

Main lines, in order of rising 2θ (10° ≤ 2θ ≤ 90°):
2θ (°)  Rel. int.
29.33  100.0
34.00  36.2
48.84  44.4
58.00  43.7
79.16  17.7
81.65  15.3